Record 1
The following is a theoretical XRD peak list of Ba2SmP2I2. It was derived from DFT lattice parameters and positions (PBE), using Cu Kα X-rays.
Neutral-atom scattering factors, no anomalous dispersion.

Structure:
```
data_Ba2SmP2I2
_space_group_name_H-M_alt 'I 4/m m m'
_space_group_IT_number 139
_space_group_name_Hall '-I 4 2'
_cell_length_a 5.4325
_cell_length_b 5.4325
_cell_length_c 17.9308
_cell_angle_alpha 90.00
_cell_angle_beta 90.00
_cell_angle_gamma 90.00
loop_
_atom_site_label
_atom_site_fract_x
_atom_site_fract_y
_atom_site_fract_z
Ba1 0.0000 0.0000 0.1141
Sm1 0.0000 0.0000 0.5000
P1 0.0000 0.5000 0.0000
I1 0.0000 0.0000 0.3172
```

Peak list (8 most intense, 2θ = 10–80°, by intensity)
2theta	Rel. int.
29.9	100
23.2	88
45.1	68
33.0	52
57.0	19
47.3	19
53.3	18
67.4	18


Record 2
The following is a theoretical XRD peak list of Ba3PbI8. It was derived from DFT lattice parameters and positions (PBE), using Cu Kα X-rays.
Neutral-atom scattering factors, no anomalous dispersion.

Structure:
```
data_Ba3PbI8
_space_group_name_H-M_alt 'C 2 2 2'
_space_group_IT_number 21
_cell_length_a 9.6117
_cell_length_b 15.0476
_cell_length_c 9.8516
_cell_angle_alpha 90.00
_cell_angle_beta 90.00
_cell_angle_gamma 90.00
loop_
_space_group_symop_operation_xyz
'x,y,z'
'-x,-y,z'
'x,-y,-z'
'-x,y,-z'
'x+1/2,y+1/2,z'
'-x+1/2,-y+1/2,z'
'x+1/2,-y+1/2,-z'
'-x+1/2,y+1/2,-z'
loop_
_atom_site_label
_atom_site_fract_x
_atom_site_fract_y
_atom_site_fract_z
Ba1 0.0000 0.0000 0.0000
Ba2 0.2500 0.2500 0.7466
Pb1 0.0000 0.0000 0.5000
I1 0.0000 0.2167 0.5000
I2 0.0000 0.2303 0.0000
I3 0.2401 0.0176 0.7360
```

Peak list (8 most intense, 2θ = 10–80°, by intensity)
2theta	Rel. int.
25.9	100
35.4	71
10.9	57
23.7	51
14.2	36
59.1	20
36.5	20
21.1	19


Record 3
The following is a theoretical XRD peak list of Ba2PdI6. It was derived from DFT lattice parameters and positions (PBE), using Cu Kα X-rays.
Neutral-atom scattering factors, no anomalous dispersion.

Structure:
```
data_Ba2PdI6
_space_group_name_H-M_alt 'P 1 21/c 1'
_space_group_IT_number 14
_cell_length_a 7.1938
_cell_length_b 9.7292
_cell_length_c 12.9903
_cell_angle_alpha 90.00
_cell_angle_beta 123.55
_cell_angle_gamma 90.00
loop_
_space_group_symop_operation_xyz
'x,y,z'
'-x,-y,-z'
'-x,y+1/2,-z+1/2'
'x,-y+1/2,z+1/2'
loop_
_atom_site_label
_atom_site_fract_x
_atom_site_fract_y
_atom_site_fract_z
Ba1 0.1715 0.1256 0.2385
Pd1 0.0000 0.0000 0.5000
I1 0.1382 0.1551 0.9510
I2 0.2666 0.6433 0.9558
I3 0.3333 0.0135 0.7362
```

Peak list (8 most intense, 2θ = 10–80°, by intensity)
2theta	Rel. int.
27.6	100
27.7	59
30.2	52
30.9	49
33.1	30
31.2	28
22.1	26
29.8	25